Li2Tb3Zn7: computed PXRD pattern (Cu Kα X-rays), based on the PBE geometry in Alexandria.

Largest 10 diffraction maxima, in order of rising 2θ, 2θ = 10–80°:
10.2°, I 36, hkl 0 0 3
30.6°, I 96, hkl 1 0 7
33.0°, I 50, hkl 1 1 0
33.4°, I 95, hkl 0 1 8
38.5°, I 86, hkl 0 2 1
39.0°, I 31, hkl 2 0 2
39.2°, I 100, hkl 1 1 6
57.5°, I 33, hkl 2 1 7
59.3°, I 35, hkl 1 2 8
69.3°, I 32, hkl 2 2 0

Structural model:
a b c (Å): 5.4227 5.4227 26.0940
angles (deg): 90.00 90.00 120.00
Space group R-3m (No. 166, hexagonal axes)
Symmetry-distinct sites (fractional):
Li 0.0000 0.0000 0.1671
Tb 0.0000 0.0000 0.3633
Tb 0.0000 0.0000 0.5000
Zn 0.0000 0.0000 0.0000
Zn 0.0022 0.5011 0.4186